# 1
This entry pairs a crystal structure of Tb12PrHo5 with its theoretical powder diffraction line list. Radiation: Cu Kα (weighted mean of Kα1 and Kα2). Structure: DFT lattice parameters and positions (PBE).

The 10 most intense peaks (10 to 90 degrees two-theta), by angle:
d/Å	I/Imax
2.905	100
2.515	51
1.779	36
1.517	43
1.452	12
1.258	4
1.257	2
1.154	18
1.125	14
1.124	3

Atomic structure:
```
18
Lattice="7.5423 -7.5514 0.0000 7.5423 7.5514 0.0000 0.0000 0.0000 5.0300" Properties=species:S:1:pos:R:3 pbc="T T T"
Tb 10.0437 -5.0396 2.5150
Tb 5.0410 5.0396 2.5150
Tb 5.0195 2.5299 0.0000
Tb 2.5005 0.0000 0.0000
Tb 10.0437 5.0396 2.5150
Tb 5.0071 0.0000 2.5150
Tb 5.0195 -2.5299 0.0000
Tb 10.0652 2.5299 0.0000
Tb 5.0410 -5.0396 2.5150
Tb 10.0776 0.0000 2.5150
Tb 12.5842 0.0000 0.0000
Tb 10.0652 -2.5299 0.0000
Pr 7.5423 0.0000 0.0000
Ho 0.0000 0.0000 2.5150
Ho 7.5423 5.0366 0.0000
Ho 7.5423 2.5398 2.5150
Ho 7.5423 -2.5398 2.5150
Ho 7.5423 -5.0366 0.0000
```



# 2
This entry pairs a crystal structure of RbAsPbF6 with its theoretical powder diffraction line list. Radiation: Cu Kα (weighted mean of Kα1 and Kα2). Structure: DFT lattice parameters and positions (PBE).

The 10 most intense peaks (10 to 90 degrees two-theta), by angle:
d/Å	I/Imax
5.693	34
4.496	20
3.528	100
3.287	75
2.653	25
2.405	51
1.941	44
1.898	22
1.856	25
1.450	19

Atomic structure:
```
9
Lattice="6.5735 0.0000 0.0000 -3.2867 5.6928 0.0000 0.0000 0.0000 4.4962" Properties=species:S:1:pos:R:3 pbc="T T T"
Rb 0.0000 0.0000 0.0000
As 3.2867 1.8976 1.7412
Pb 0.0000 3.7952 2.4143
F -1.7521 3.6113 0.9832
F 1.0353 2.3698 0.9832
F 2.2947 0.7686 2.8276
F 0.7168 5.4045 0.9832
F 2.8050 3.3212 2.8276
F 4.7605 1.6030 2.8276
```



# 3
This entry pairs a crystal structure of ScCo2Sn3 with its theoretical powder diffraction line list. Radiation: Cu Kα (weighted mean of Kα1 and Kα2). Structure: DFT lattice parameters and positions (PBE).

The 10 most intense peaks (10 to 90 degrees two-theta), by angle:
d/Å	I/Imax
4.206	11
3.221	12
2.550	100
2.147	11
2.103	47
1.699	14
1.603	24
1.357	14
1.285	12
1.275	9

Atomic structure:
```
12
Lattice="6.4123 0.0000 0.0000 -3.2061 5.5532 0.0000 0.0000 0.0000 6.4425" Properties=species:S:1:pos:R:3 pbc="T T T"
Sc 0.0000 3.7021 1.2914
Sc 3.2061 1.8511 5.1511
Co 0.0000 0.0000 3.2212
Co -1.6031 2.7766 3.2212
Co 3.2061 0.0000 3.2212
Co 1.6031 2.7766 3.2212
Sn 0.0000 1.8861 5.0683
Sn -1.5727 4.6101 5.0683
Sn 1.6334 0.9430 1.3742
Sn 1.5727 4.6101 5.0683
Sn 4.7789 0.9430 1.3742
Sn 3.2061 3.6671 1.3742
```



# 4
This entry pairs a crystal structure of Y3HPb with its theoretical powder diffraction line list. Radiation: Cu Kα (weighted mean of Kα1 and Kα2). Structure: DFT lattice parameters and positions (PBE).

The 10 most intense peaks (10 to 90 degrees two-theta), by angle:
d/Å	I/Imax
4.147	15
3.426	15
2.863	28
2.847	54
2.798	100
2.781	20
2.605	43
2.453	18
2.424	22
1.538	16

Atomic structure:
```
10
Lattice="6.8397 0.0000 0.0000 0.0000 5.2091 0.0000 -1.7189 0.0000 6.8526" Properties=species:S:1:pos:R:3 pbc="T T T"
Y 0.0000 0.0000 0.0000
Y -0.7541 0.0000 3.4597
Y 1.3808 2.6045 2.2686
Y 0.6618 2.6045 5.7222
Y 3.3399 0.0000 1.1014
Y 4.1425 2.6045 4.6323
H -1.0674 1.3072 5.1906
H -1.0674 3.9018 5.1906
Pb 2.3816 0.0000 4.3972
Pb 5.1192 2.6045 1.3509
```



# 5
This entry pairs a crystal structure of Pa3TlSe6 with its theoretical powder diffraction line list. Radiation: Cu Kα (weighted mean of Kα1 and Kα2). Structure: DFT lattice parameters and positions (PBE).

The 10 most intense peaks (10 to 90 degrees two-theta), by angle:
d/Å	I/Imax
4.096	90
3.957	100
3.617	65
3.372	81
3.107	47
3.082	57
2.621	97
2.110	68
2.052	60
1.990	38

Atomic structure:
```
20
Lattice="11.8577 0.0000 0.0000 0.0000 4.2203 0.0000 -3.9812 0.0000 11.6279" Properties=species:S:1:pos:R:3 pbc="T T T"
Pa -1.2919 1.0551 3.8958
Pa 2.1427 1.0551 0.1099
Pa 2.2867 3.1652 5.0644
Pa 5.5898 1.0551 6.5635
Pa 5.7338 3.1652 11.5181
Pa 9.1684 3.1652 7.7321
Tl 1.6015 3.1652 9.4734
Tl 6.2750 1.0551 2.1545
Se -3.3417 3.1652 10.5281
Se -0.4651 3.1652 5.7880
Se -1.0024 1.0551 8.9197
Se 1.7603 1.0551 3.2107
Se 3.9617 3.1652 0.6501
Se 2.7411 1.0551 6.9722
Se 5.1354 3.1652 4.6557
Se 3.9148 1.0551 10.9778
Se 6.1162 3.1652 8.4172
Se 8.8790 3.1652 2.7082
Se 8.3416 1.0551 5.8399
Se 11.2182 1.0551 1.0999
```



# 6
This entry pairs a crystal structure of NaCu4As3O12 with its theoretical powder diffraction line list. Radiation: Cu Kα (weighted mean of Kα1 and Kα2). Structure: DFT lattice parameters and positions (PBE).

The 10 most intense peaks (10 to 90 degrees two-theta), by angle:
d/Å	I/Imax
6.254	28
3.574	100
3.434	28
3.328	40
2.872	48
2.780	22
2.701	93
2.678	39
1.865	25
1.706	28

Atomic structure:
```
40
Lattice="6.1195 -6.2544 0.0000 6.1195 6.2544 0.0000 -3.6758 0.0000 6.6555" Properties=species:S:1:pos:R:3 pbc="T T T"
Na 3.3627 6.1750 4.9916
Na 5.2006 -6.1750 1.6639
Cu 0.3467 1.9500 4.2774
Cu 5.2006 2.9463 1.6639
Cu 2.1846 -1.9500 0.9497
Cu 3.3627 0.0858 4.9916
Cu 5.2006 -0.0858 1.6639
Cu 6.3786 1.9500 5.7058
Cu 3.3627 -2.9463 4.9916
Cu 8.2165 -1.9500 2.3781
As 2.3419 1.4887 0.7844
As 3.3627 2.8499 4.9916
As 0.5040 -1.4887 4.1121
As 8.0592 1.4887 2.5434
As 5.2006 -2.8499 1.6639
As 6.2213 -1.4887 5.8711
O 3.9111 4.1820 0.8409
O 1.5960 2.4391 2.0195
O 3.5958 3.7970 3.5873
O -0.2400 0.0608 4.0944
O 1.5979 -0.0608 0.7667
O 3.1295 3.7970 6.3959
O 4.0620 1.3904 1.1563
O 2.1362 1.5433 4.9173
O 6.4901 4.1820 2.4868
O -0.2419 -2.4391 5.3473
O 4.5891 1.5433 5.0659
O 2.2241 -1.3904 4.4840
O 6.3391 1.3904 2.1715
O 3.9741 -1.5433 1.5896
O 8.8052 2.4391 1.3082
O 2.0732 -4.1820 4.1686
O 6.4270 -1.5433 1.7382
O 4.5012 -1.3904 5.4992
O 5.4337 -3.7970 0.2596
O 6.9653 0.0608 5.8888
O 8.8032 -0.0608 2.5611
O 4.9674 -3.7970 3.0681
O 6.9673 -2.4391 4.6359
O 4.6522 -4.1820 5.8146
```



# 7
This entry pairs a crystal structure of InNi4B with its theoretical powder diffraction line list. Radiation: Cu Kα (weighted mean of Kα1 and Kα2). Structure: DFT lattice parameters and positions (PBE).

The 10 most intense peaks (10 to 90 degrees two-theta), by angle:
d/Å	I/Imax
2.433	48
2.240	19
2.200	58
2.089	82
1.976	100
1.632	30
1.248	15
1.222	17
1.124	18
1.117	15

Atomic structure:
```
12
Lattice="-2.2003 2.6675 5.9332 2.2003 -2.6675 5.9332 2.2003 2.6675 -5.9332" Properties=species:S:1:pos:R:3 pbc="T T T"
In 0.0000 0.0000 2.3698
In 0.0000 0.0000 9.4966
Ni 2.2003 1.2991 -1.2998
Ni 0.0000 1.1893 0.0000
Ni 2.2003 0.0000 3.9345
Ni 2.2003 1.2991 1.2998
Ni 0.0000 1.3684 4.6334
Ni 0.0000 2.6675 1.9987
Ni 0.0000 4.1458 0.0000
Ni 0.0000 1.3684 7.2330
B 1.3132 2.6675 0.0000
B 0.8871 0.0000 5.9332
```